Record 1
Calculated powder diffraction line list
Compound: Sc4In3Ga
Radiation: Cu Kα X-rays
Structure: a DFT-relaxed cell (PBE, Alexandria)

Largest 10 diffraction maxima, by angle, 10° ≤ 2θ ≤ 80°:
2θ/deg	I/Imax
20.7	16
28.1	15
35.2	100
40.1	36
42.2	13
45.6	9
58.1	11
59.6	18
69.7	25
74.3	9

Atomic structure:
a = 3.1772 Å, b = 3.1772 Å, c = 17.1320 Å
α = 90.00°, β = 90.00°, γ = 90.00°
Atoms (fractional coordinates):
Sc 0.0000 0.0000 0.1100
Sc 0.0000 0.0000 0.3703
Sc 0.0000 0.0000 0.6297
Sc 0.0000 0.0000 0.8900
In 0.5000 0.5000 0.2415
In 0.5000 0.5000 0.5000
In 0.5000 0.5000 0.7585
Ga 0.5000 0.5000 0.0000


Record 2
Calculated powder diffraction line list
Compound: Sc7In2Ga2
Radiation: Cu Kα X-rays
Structure: a DFT-relaxed cell (PBE, Alexandria)

Largest 10 diffraction maxima, by angle, 10° ≤ 2θ ≤ 80°:
2θ/deg	I/Imax
21.4	81
27.0	79
29.7	33
34.5	57
36.9	22
38.7	43
39.4	100
42.9	25
44.4	28
46.6	31

Atomic structure:
a = 6.4134 Å, b = 6.4134 Å, c = 6.9177 Å
α = 90.00°, β = 90.00°, γ = 108.15°
Atoms (fractional coordinates):
Sc 0.0000 0.0000 0.0000
Sc 0.0000 0.5000 0.2737
Sc 0.0000 0.5000 0.7263
Sc 0.5000 0.0000 0.2737
Sc 0.5000 0.0000 0.7263
Sc 0.5000 0.5000 0.2461
Sc 0.5000 0.5000 0.7539
In 0.1843 0.1843 0.5000
In 0.8157 0.8157 0.5000
Ga 0.2877 0.7123 0.0000
Ga 0.7123 0.2877 0.0000


Record 3
Calculated powder diffraction line list
Compound: Sc3InGa
Radiation: Cu Kα X-rays
Structure: a DFT-relaxed cell (PBE, Alexandria)

Largest 10 diffraction maxima, by angle, 10° ≤ 2θ ≤ 80°:
2θ/deg	I/Imax
24.8	100
30.6	61
35.4	100
43.8	45
51.0	67
57.5	20
60.6	22
63.6	22
69.4	22
75.0	10

Atomic structure:
a = 5.0672 Å, b = 5.0672 Å, c = 5.0672 Å
α = 90.00°, β = 90.00°, γ = 90.00°
Atoms (fractional coordinates):
Sc 0.0000 0.0000 0.5000
Sc 0.0000 0.5000 0.0000
Sc 0.5000 0.0000 0.0000
In 0.5000 0.5000 0.5000
Ga 0.0000 0.0000 0.0000


Record 4
Calculated powder diffraction line list
Compound: InGa2Se2
Radiation: Cu Kα X-rays
Structure: a DFT-relaxed cell (PBE, Alexandria)

Largest 10 diffraction maxima, by angle, 10° ≤ 2θ ≤ 80°:
2θ/deg	I/Imax
24.4	9
31.7	47
34.8	100
47.8	7
50.1	49
54.4	8
60.5	14
62.5	7
68.1	13
73.6	15

Atomic structure:
a = 5.7568 Å, b = 5.7568 Å, c = 5.7568 Å
α = 126.86°, β = 126.86°, γ = 78.48°
Atoms (fractional coordinates):
In 0.0000 0.0000 0.0000
Ga 0.3537 0.3537 0.0000
Ga 0.6463 0.6463 0.0000
Se 0.2500 0.7500 0.5000
Se 0.7500 0.2500 0.5000


Record 5
Calculated powder diffraction line list
Compound: In2GaSe4
Radiation: Cu Kα X-rays
Structure: a DFT-relaxed cell (PBE, Alexandria)

Largest 10 diffraction maxima, by angle, 10° ≤ 2θ ≤ 80°:
2θ/deg	I/Imax
16.2	13
19.6	13
25.9	100
32.6	15
39.7	32
44.4	42
48.0	35
56.0	9
57.4	10
75.4	16

Atomic structure:
a = 6.9647 Å, b = 6.9647 Å, c = 6.9647 Å
α = 125.13°, β = 125.13°, γ = 81.32°
Atoms (fractional coordinates):
In 0.2500 0.7500 0.5000
In 0.7500 0.2500 0.5000
Ga 0.0000 0.0000 0.0000
Se 0.1319 0.6533 0.0000
Se 0.3467 0.3467 0.4786
Se 0.6533 0.1319 0.0000
Se 0.8681 0.8681 0.5214


Record 6
Calculated powder diffraction line list
Compound: InGa2Se4
Radiation: Cu Kα X-rays
Structure: a DFT-relaxed cell (PBE, Alexandria)

Largest 10 diffraction maxima, by angle, 10° ≤ 2θ ≤ 80°:
2θ/deg	I/Imax
16.0	17
17.9	25
28.0	16
29.0	100
32.2	31
32.4	18
46.3	67
49.9	20
50.1	21
76.8	15

Atomic structure:
a = 6.4074 Å, b = 6.4074 Å, c = 6.4074 Å
α = 104.36°, β = 104.36°, γ = 120.27°
Atoms (fractional coordinates):
In 0.0000 0.0000 0.0000
Ga 0.2500 0.7500 0.5000
Ga 0.7500 0.2500 0.5000
Se 0.1730 0.6627 0.8357
Se 0.3373 0.1730 0.5103
Se 0.6627 0.8270 0.4897
Se 0.8270 0.3373 0.1643


Record 7
Calculated powder diffraction line list
Compound: In3GaSe6
Radiation: Cu Kα X-rays
Structure: a DFT-relaxed cell (PBE, Alexandria)

Largest 10 diffraction maxima, by angle, 10° ≤ 2θ ≤ 80°:
2θ/deg	I/Imax
16.6	22
23.8	52
24.3	57
27.5	28
33.5	100
36.0	20
37.0	52
39.4	49
47.3	27
48.1	24

Atomic structure:
a = 9.1697 Å, b = 9.1697 Å, c = 6.7494 Å
α = 90.00°, β = 90.00°, γ = 107.68°
Atoms (fractional coordinates):
In 0.0829 0.9171 0.5000
In 0.2035 0.4062 0.6541
In 0.4062 0.2035 0.1541
In 0.5938 0.7965 0.6541
In 0.7965 0.5938 0.1541
In 0.9171 0.0829 0.0000
Ga 0.2990 0.7010 0.2101
Ga 0.7010 0.2990 0.7101
Se 0.0494 0.6178 0.3723
Se 0.1292 0.2092 0.3163
Se 0.2092 0.1292 0.8163
Se 0.3115 0.6885 0.8565
Se 0.3822 0.9506 0.3723
Se 0.4397 0.5603 0.4108
Se 0.5603 0.4397 0.9108
Se 0.6178 0.0494 0.8723
Se 0.6885 0.3115 0.3565
Se 0.7908 0.8708 0.3163
Se 0.8708 0.7908 0.8163
Se 0.9506 0.3822 0.8723


Record 8
Calculated powder diffraction line list
Compound: Sm5In2Ga2
Radiation: Cu Kα X-rays
Structure: a DFT-relaxed cell (PBE, Alexandria)

Largest 10 diffraction maxima, by angle, 10° ≤ 2θ ≤ 80°:
2θ/deg	I/Imax
30.3	59
31.2	89
31.6	100
32.0	61
33.3	52
36.0	33
36.7	30
37.5	21
44.1	23
52.2	25

Atomic structure:
a = 9.1355 Å, b = 9.1355 Å, c = 7.8086 Å
α = 90.00°, β = 90.00°, γ = 51.90°
Atoms (fractional coordinates):
Sm 0.0000 0.0000 0.0000
Sm 0.0600 0.6784 0.6803
Sm 0.1784 0.5600 0.1803
Sm 0.3216 0.9400 0.6803
Sm 0.4400 0.8216 0.1803
Sm 0.5000 0.5000 0.5000
Sm 0.5600 0.1784 0.8197
Sm 0.6784 0.0600 0.3197
Sm 0.8216 0.4400 0.8197
Sm 0.9400 0.3216 0.3197
In 0.2215 0.2215 0.0000
In 0.2785 0.2785 0.5000
In 0.7215 0.7215 0.5000
In 0.7785 0.7785 0.0000
Ga 0.1146 0.8854 0.3841
Ga 0.3854 0.6146 0.8841
Ga 0.6146 0.3854 0.1159
Ga 0.8854 0.1146 0.6159


Record 9
Calculated powder diffraction line list
Compound: InGa2Sn3
Radiation: Cu Kα X-rays
Structure: a DFT-relaxed cell (PBE, Alexandria)

Largest 10 diffraction maxima, by angle, 10° ≤ 2θ ≤ 80°:
2θ/deg	I/Imax
26.0	54
29.1	26
31.0	28
33.0	51
33.7	34
34.2	32
35.9	79
37.3	100
39.0	54
63.6	25

Atomic structure:
a = 7.8858 Å, b = 7.8858 Å, c = 7.8858 Å
α = 111.79°, β = 86.13°, γ = 134.12°
Atoms (fractional coordinates):
In 0.3549 0.1049 0.2500
In 0.6451 0.8951 0.7500
Ga 0.1068 0.4880 0.6188
Ga 0.3691 0.4880 0.8812
Ga 0.6309 0.5120 0.1188
Ga 0.8932 0.5120 0.3812
Sn 0.0000 0.0000 0.5000
Sn 0.0000 0.1814 0.1814
Sn 0.0000 0.5000 0.0000
Sn 0.0000 0.8186 0.8186
Sn 0.5000 0.1814 0.6814
Sn 0.5000 0.8186 0.3186


Record 10
Calculated powder diffraction line list
Compound: InGa12Sn6
Radiation: Cu Kα X-rays
Structure: a DFT-relaxed cell (PBE, Alexandria)

Largest 10 diffraction maxima, by angle, 10° ≤ 2θ ≤ 80°:
2θ/deg	I/Imax
22.8	41
27.0	33
29.9	52
32.6	52
35.7	100
38.0	49
39.7	99
42.9	49
44.4	42
59.1	33

Atomic structure:
a = 8.1908 Å, b = 8.1908 Å, c = 8.1908 Å
α = 107.21°, β = 107.21°, γ = 107.21°
Atoms (fractional coordinates):
In 0.0000 0.0000 0.0000
Ga 0.1066 0.5000 0.8934
Ga 0.1066 0.8934 0.5000
Ga 0.1233 0.3462 0.3462
Ga 0.3462 0.1233 0.3462
Ga 0.3462 0.3462 0.1233
Ga 0.5000 0.1066 0.8934
Ga 0.5000 0.8934 0.1066
Ga 0.6538 0.6538 0.8767
Ga 0.6538 0.8767 0.6538
Ga 0.8767 0.6538 0.6538
Ga 0.8934 0.1066 0.5000
Ga 0.8934 0.5000 0.1066
Sn 0.2729 0.6954 0.6954
Sn 0.3046 0.3046 0.7271
Sn 0.3046 0.7271 0.3046
Sn 0.6954 0.2729 0.6954
Sn 0.6954 0.6954 0.2729
Sn 0.7271 0.3046 0.3046


Record 11
Calculated powder diffraction line list
Compound: InGa4Sn2
Radiation: Cu Kα X-rays
Structure: a DFT-relaxed cell (PBE, Alexandria)

Largest 10 diffraction maxima, by angle, 10° ≤ 2θ ≤ 80°:
2θ/deg	I/Imax
29.2	78
32.5	100
32.6	36
33.1	84
33.7	59
34.7	68
35.9	43
37.7	39
40.7	52
44.4	44

Atomic structure:
a = 8.8919 Å, b = 8.8919 Å, c = 5.9967 Å
α = 93.45°, β = 93.45°, γ = 43.51°
Atoms (fractional coordinates):
In 0.2283 0.7717 0.7500
In 0.7717 0.2283 0.2500
Ga 0.1202 0.2044 0.4680
Ga 0.1883 0.6550 0.2482
Ga 0.2044 0.1202 0.9680
Ga 0.3450 0.8117 0.2518
Ga 0.6550 0.1883 0.7482
Ga 0.7956 0.8798 0.0320
Ga 0.8117 0.3450 0.7518
Ga 0.8798 0.7956 0.5320
Sn 0.2138 0.4225 0.8288
Sn 0.4225 0.2138 0.3288
Sn 0.5775 0.7862 0.6712
Sn 0.7862 0.5775 0.1712


Record 12
Calculated powder diffraction line list
Compound: In3GaSn3
Radiation: Cu Kα X-rays
Structure: a DFT-relaxed cell (PBE, Alexandria)

Largest 10 diffraction maxima, by angle, 10° ≤ 2θ ≤ 80°:
2θ/deg	I/Imax
29.4	57
31.5	100
32.1	45
32.6	87
33.7	77
35.7	37
41.6	29
41.9	29
42.4	24
43.7	22

Atomic structure:
a = 6.7768 Å, b = 7.2814 Å, c = 8.5574 Å
α = 85.54°, β = 67.15°, γ = 74.61°
Atoms (fractional coordinates):
In 0.0369 0.0283 0.2399
In 0.0950 0.5715 0.3011
In 0.3870 0.7059 0.4506
In 0.6130 0.2941 0.5494
In 0.9050 0.4285 0.6989
In 0.9631 0.9717 0.7601
Ga 0.2519 0.1275 0.8610
Ga 0.7481 0.8725 0.1390
Sn 0.1973 0.5584 0.8502
Sn 0.3221 0.1474 0.4005
Sn 0.4767 0.7435 0.9841
Sn 0.5233 0.2565 0.0159
Sn 0.6779 0.8526 0.5995
Sn 0.8027 0.4416 0.1498


Record 13
Calculated powder diffraction line list
Compound: InGa6Sn12
Radiation: Cu Kα X-rays
Structure: a DFT-relaxed cell (PBE, Alexandria)

Largest 10 diffraction maxima, by angle, 10° ≤ 2θ ≤ 80°:
2θ/deg	I/Imax
31.3	100
33.9	58
36.3	62
38.6	15
46.8	12
52.3	22
55.7	13
60.7	17
62.2	29
66.9	13

Atomic structure:
a = 8.5689 Å, b = 8.5689 Å, c = 8.5689 Å
α = 109.47°, β = 109.47°, γ = 109.47°
Atoms (fractional coordinates):
In 0.0000 0.0000 0.0000
Ga 0.1312 0.5000 0.6312
Ga 0.3688 0.8688 0.5000
Ga 0.5000 0.3688 0.8688
Ga 0.5000 0.6312 0.1312
Ga 0.6312 0.1312 0.5000
Ga 0.8688 0.5000 0.3688
Sn 0.0375 0.2530 0.7845
Sn 0.2155 0.4685 0.2530
Sn 0.2155 0.9625 0.7470
Sn 0.2530 0.2155 0.4685
Sn 0.2530 0.7845 0.0375
Sn 0.4685 0.2530 0.2155
Sn 0.5315 0.7470 0.7845
Sn 0.7470 0.2155 0.9625
Sn 0.7470 0.7845 0.5315
Sn 0.7845 0.0375 0.2530
Sn 0.7845 0.5315 0.7470
Sn 0.9625 0.7470 0.2155